# CeDy6Ga3
Theoretical X-ray powder pattern, copper Kα. Input: DFT lattice parameters and positions (GGA-PBE).

Structure:
```
data_CeDy6Ga3
_chemical_formula_sum 'Ce4 Dy24 Ga12'
_symmetry_space_group_name_H-M 'C m c 21'
_symmetry_Int_Tables_number 36
_cell_length_a 10.723
_cell_length_b 12.662
_cell_length_c 8.276
_cell_angle_alpha 90.00
_cell_angle_beta 90.00
_cell_angle_gamma 90.00
loop_
_symmetry_equiv_pos_as_xyz
'x,y,z'
'-x,-y,z+1/2'
'-x,y,z'
'x,-y,z+1/2'
'x+1/2,y+1/2,z'
'-x+1/2,-y+1/2,z+1/2'
'-x+1/2,y+1/2,z'
'x+1/2,-y+1/2,z+1/2'
loop_
_atom_site_label
_atom_site_type_symbol
_atom_site_fract_x
_atom_site_fract_y
_atom_site_fract_z
Ce1 Ce 0.000 0.167 0.000
Dy1 Dy 0.000 0.276 0.496
Dy2 Dy 0.000 0.466 0.165
Dy3 Dy 0.167 0.066 0.642
Dy4 Dy 0.235 0.321 0.784
Ga1 Ga 0.000 0.071 0.339
Ga2 Ga 0.202 0.418 0.444
```

Largest 6 diffraction maxima, in order of rising 2θ, 5 to 70 degrees two-theta:
2θ (°), intensity, index
27.22, 28, 2 0 2
30.23, 59, 0 4 1
30.73, 59, 2 2 2
33.89, 60, 3 1 2
34.64, 100, 2 4 1
35.50, 51, 0 2 3


# CeDyGaOs
Theoretical X-ray powder pattern, copper Kα. Input: DFT lattice parameters and positions (GGA-PBE).

Structure:
```
data_CeDyGaOs
_chemical_formula_sum 'Ce2 Dy2 Ga2 Os2'
_symmetry_space_group_name_H-M 'A m m 2'
_symmetry_Int_Tables_number 38
_cell_length_a 3.876
_cell_length_b 4.116
_cell_length_c 11.399
_cell_angle_alpha 90.00
_cell_angle_beta 90.00
_cell_angle_gamma 90.00
loop_
_symmetry_equiv_pos_as_xyz
'x,y,z'
'-x,-y,z'
'-x,y,z'
'x,-y,z'
'x,y+1/2,z+1/2'
'-x,-y+1/2,z+1/2'
'-x,y+1/2,z+1/2'
'x,-y+1/2,z+1/2'
loop_
_atom_site_label
_atom_site_type_symbol
_atom_site_fract_x
_atom_site_fract_y
_atom_site_fract_z
Ce1 Ce 0.000 0.000 0.000
Dy1 Dy 0.500 0.000 0.279
Ga1 Ga 0.000 0.000 0.701
Os1 Os 0.500 0.000 0.543
```

Largest 6 diffraction maxima, in order of rising 2θ, 5 to 70 degrees two-theta:
2θ (°), intensity, index
31.39, 36, 0 0 4
32.06, 29, 0 1 3
32.69, 100, 1 1 1
39.24, 26, 1 0 4
39.79, 69, 1 1 3
44.00, 25, 0 2 0


# CeDyZn2Ga2
Theoretical X-ray powder pattern, copper Kα. Input: DFT lattice parameters and positions (GGA-PBE).

Structure:
```
data_CeDyZn2Ga2
_chemical_formula_sum 'Ce1 Dy1 Zn2 Ga2'
_symmetry_space_group_name_H-M 'P -3 m 1'
_symmetry_Int_Tables_number 164
_symmetry_space_group_name_Hall '-P 3 2"'
_cell_length_a 4.4297
_cell_length_b 4.4297
_cell_length_c 7.4084
_cell_angle_alpha 90.00
_cell_angle_beta 90.00
_cell_angle_gamma 120.00
loop_
_atom_site_label
_atom_site_type_symbol
_atom_site_fract_x
_atom_site_fract_y
_atom_site_fract_z
Ce1 Ce 0.0000 0.0000 0.0000
Dy1 Dy 0.0000 0.0000 0.5000
Zn1 Zn 0.3333 0.6667 0.2679
Ga1 Ga 0.3333 0.6667 0.7443
```

Largest 6 diffraction maxima, in order of rising 2θ, 5 to 70 degrees two-theta:
2θ (°), intensity, index
23.19, 15, 1 0 0
33.63, 100, 1 0 2
40.74, 52, 1 1 0
53.82, 26, 0 2 2
65.72, 23, 1 1 4
69.64, 24, 2 1 2


# CeDy4Ge4
Theoretical X-ray powder pattern, copper Kα. Input: DFT lattice parameters and positions (GGA-PBE).

Structure:
```
data_CeDy4Ge4
_chemical_formula_sum 'Ce2 Dy8 Ge8'
_symmetry_space_group_name_H-M 'I 4/m'
_symmetry_Int_Tables_number 87
_symmetry_space_group_name_Hall '-I 4'
_cell_length_a 9.297
_cell_length_b 9.297
_cell_length_c 5.809
_cell_angle_alpha 90.00
_cell_angle_beta 90.00
_cell_angle_gamma 90.00
loop_
_atom_site_label
_atom_site_type_symbol
_atom_site_fract_x
_atom_site_fract_y
_atom_site_fract_z
Ce1 Ce 0.000 0.000 0.000
Dy1 Dy 0.102 0.691 0.500
Ge1 Ge 0.105 0.705 0.000
```

Largest 6 diffraction maxima, in order of rising 2θ, 5 to 70 degrees two-theta:
2θ (°), intensity, index
26.36, 56, 1 2 1
30.40, 100, 3 1 0
30.79, 49, 0 0 2
43.53, 37, 2 4 0
43.82, 74, 3 1 2
54.26, 39, 2 4 2